# BaTi8O16
Computed X-ray powder pattern, copper Kα. Input: the GGA-PBE geometry in the Materials Project.

Crystal structure
abc: 5.9746 7.3157 7.4489
angles: 89.42 78.38 78.16
Atoms (fractional coordinates):
Ba (0.0000, 0.0000, 0.0000)
Ti (0.0556, 0.5043, 0.1851)
Ti (0.1479, 0.8126, 0.5145)
Ti (0.3171, 0.1789, 0.4691)
Ti (0.4040, 0.4803, 0.8214)
Ti (0.5558, 0.5179, 0.1805)
Ti (0.6417, 0.8208, 0.5304)
Ti (0.8103, 0.1865, 0.4890)
Ti (0.9014, 0.4970, 0.8162)
O (0.0025, 0.3038, 0.6182)
O (0.1282, 0.0367, 0.3548)
O (0.1410, 0.6428, 0.7215)
O (0.1516, 0.3536, 0.9463)
O (0.3013, 0.6433, 0.0561)
O (0.3190, 0.3651, 0.2854)
O (0.3248, 0.9622, 0.6435)
O (0.4635, 0.6936, 0.3870)
O (0.4951, 0.3062, 0.6144)
O (0.6346, 0.0376, 0.3590)
O (0.6393, 0.6348, 0.7158)
O (0.6584, 0.3568, 0.9451)
O (0.8089, 0.6452, 0.0551)
O (0.8194, 0.3568, 0.2802)
O (0.8316, 0.9632, 0.6461)
O (0.9570, 0.6958, 0.3831)

Most intense lines, 2θ from 15° to 90°, low angle first:
| 2theta | d/Å | Rel. int. | h k l |
| --- | --- | --- | --- |
| 17.67 | 5.019 | 67 | 1 1 0 |
| 27.41 | 3.254 | 78 | 0 2 -1 |
| 27.82 | 3.207 | 77 | 0 1 2 |
| 35.92 | 2.500 | 100 | 2 2 0 |
| 39.86 | 2.261 | 54 | 2 -1 2 |
| 40.45 | 2.230 | 52 | -2 1 1 |